Starting from a DFT-relaxed cell (GGA-PBE, Alexandria), the powder X-ray diffraction pattern of MnH2Ru was computed for Cu Ka.
Peak positions follow from Bragg's law for the DFT cell and can differ from measured ones.

Top 12 peaks for 10° ≤ 2θ ≤ 80°, sorted by position:
hkl 1 0 1, 16.97 deg, d 5.226, I 30
hkl 0 1 2, 29.03 deg, d 3.076, I 9
hkl 2 1 1, 30.74 deg, d 2.909, I 5
hkl 3 0 0, 31.29 deg, d 2.859, I 7
hkl 2 2 0, 36.29 deg, d 2.476, I 3
hkl 4 -3 1, 40.31 deg, d 2.237, I 100
hkl 0 0 3, 41.09 deg, d 2.197, I 32
hkl 4 0 1, 44.43 deg, d 2.039, I 4
hkl 3 1 2, 47.12 deg, d 1.929, I 67
hkl 0 3 3, 52.54 deg, d 1.742, I 3
hkl 2 5 0, 68.30 deg, d 1.373, I 20
hkl 4 -3 4, 69.39 deg, d 1.354, I 19

Atomic structure:
abc: 9.9030 9.9030 6.5900
angles: 90.00 90.00 120.00
Space group R-3 (No. 148, hexagonal axes)
Symmetry-distinct sites (fractional):
Mn 0.0157 0.5802 0.1636 [18 per cell]
H 0.0142 0.5892 0.6742 [18 per cell]
H 0.0504 0.1798 0.3444 [18 per cell]
Ru 0.0483 0.1785 0.8334 [18 per cell]

---

Starting from a DFT-relaxed cell (GGA-PBE, Alexandria), the powder X-ray diffraction pattern of Li2YAlTe4 was computed for Cu Ka.
Peak positions follow from Bragg's law for the DFT cell and can differ from measured ones.

Top 12 peaks for 10° ≤ 2θ ≤ 80°, sorted by position:
hkl 0 2 2, 25.36 deg, d 3.511, I 33
hkl 2 0 2, 26.12 deg, d 3.411, I 33
hkl 0 0 4, 29.81 deg, d 2.997, I 100
hkl 0 4 0, 41.73 deg, d 2.165, I 12
hkl 2 2 4, 42.65 deg, d 2.120, I 48
hkl 4 0 0, 43.67 deg, d 2.073, I 12
hkl 2 4 2, 49.90 deg, d 1.828, I 8
hkl 4 2 2, 51.18 deg, d 1.785, I 9
hkl 0 4 4, 52.09 deg, d 1.756, I 12
hkl 4 0 4, 53.74 deg, d 1.706, I 13
hkl 2 2 8, 70.14 deg, d 1.342, I 11
hkl 4 4 4, 70.26 deg, d 1.340, I 10

Atomic structure:
abc: 8.2910 8.6585 12.0072
angles: 90.00 90.00 90.00
Space group Imma (No. 74)
Symmetry-distinct sites (fractional):
Li 0.0000 0.0000 0.0000 [4 per cell]
Li 0.2500 0.2500 0.2500 [4 per cell]
Y 0.0000 0.0000 0.5000 [4 per cell]
Al 0.2500 0.2500 0.7500 [4 per cell]
Te 0.0000 0.0257 0.7558 [8 per cell]
Te 0.2406 0.2500 0.9977 [8 per cell]

---

Starting from a DFT-relaxed cell (GGA-PBE, Alexandria), the powder X-ray diffraction pattern of Nd3Ho12Zr was computed for Cu Ka.
Peak positions follow from Bragg's law for the DFT cell and can differ from measured ones.

Top 12 peaks for 10° ≤ 2θ ≤ 80°, sorted by position:
hkl 1 0 0, 17.77 deg, d 4.991, I 1
hkl 1 1 3, 28.63 deg, d 3.118, I 1
hkl 1 1 4, 31.03 deg, d 2.882, I 100
hkl 0 0 7, 31.32 deg, d 2.856, I 1
hkl 2 0 0, 35.99 deg, d 2.496, I 50
hkl 2 0 7, 48.45 deg, d 1.879, I 1
hkl 2 2 0, 51.80 deg, d 1.765, I 35
hkl 1 1 11, 57.01 deg, d 1.615, I 1
hkl 3 1 4, 61.63 deg, d 1.505, I 41
hkl 2 2 8, 64.69 deg, d 1.441, I 12
hkl 0 0 16, 76.20 deg, d 1.249, I 1
hkl 4 0 0, 76.36 deg, d 1.247, I 4

Atomic structure:
abc: 4.9886 4.9886 19.9909
angles: 90.00 90.00 90.00
Space group P4/mmm (No. 123)
Symmetry-distinct sites (fractional):
Nd 0.0000 0.0000 0.0000 [1 per cell]
Nd 0.0000 0.0000 0.2526 [2 per cell]
Ho 0.0000 0.5000 0.1275 [4 per cell]
Ho 0.0000 0.5000 0.3841 [4 per cell]
Ho 0.5000 0.5000 0.0000 [1 per cell]
Ho 0.5000 0.5000 0.2546 [2 per cell]
Ho 0.5000 0.5000 0.5000 [1 per cell]
Zr 0.0000 0.0000 0.5000 [1 per cell]

---

Starting from a DFT-relaxed cell (GGA-PBE, Alexandria), the powder X-ray diffraction pattern of TbCe2In2Hg2 was computed for Cu Ka.
Peak positions follow from Bragg's law for the DFT cell and can differ from measured ones.

Top 12 peaks for 10° ≤ 2θ ≤ 80°, sorted by position:
hkl 0 0 6, 19.46 deg, d 4.563, I 5
hkl 0 1 5, 26.86 deg, d 3.319, I 9
hkl 1 0 7, 31.35 deg, d 2.853, I 100
hkl 1 1 0, 37.33 deg, d 2.409, I 70
hkl 0 2 7, 49.52 deg, d 1.841, I 28
hkl 0 1 14, 51.62 deg, d 1.771, I 18
hkl 1 1 12, 55.47 deg, d 1.656, I 8
hkl 2 1 7, 63.62 deg, d 1.463, I 26
hkl 2 0 14, 65.42 deg, d 1.427, I 9
hkl 3 0 0, 67.32 deg, d 1.391, I 12
hkl 1 2 14, 77.81 deg, d 1.228, I 11
hkl 2 2 0, 79.59 deg, d 1.205, I 8

Atomic structure:
abc: 4.8180 4.8180 27.3751
angles: 90.00 90.00 120.00
Space group R-3m (No. 166, hexagonal axes)
Symmetry-distinct sites (fractional):
Tb 0.0000 0.0000 0.0000 [3 per cell]
Ce 0.0000 0.0000 0.1429 [6 per cell]
In 0.0000 0.0000 0.2724 [6 per cell]
Hg 0.0000 0.0000 0.4215 [6 per cell]

---

Starting from a DFT-relaxed cell (GGA-PBE, Alexandria), the powder X-ray diffraction pattern of SnPd7Pt2 was computed for Cu Ka.
Peak positions follow from Bragg's law for the DFT cell and can differ from measured ones.

Top 12 peaks for 10° ≤ 2θ ≤ 80°, sorted by position:
hkl 0 0 1, 20.21 deg, d 4.394, I 59
hkl 2 0 0, 24.47 deg, d 3.638, I 32
hkl 1 1 1, 24.66 deg, d 3.610, I 32
hkl 2 2 0, 28.19 deg, d 3.166, I 15
hkl 2 4 0, 37.34 deg, d 2.408, I 33
hkl 0 0 2, 41.08 deg, d 2.197, I 44
hkl 1 5 1, 42.60 deg, d 2.122, I 100
hkl 3 1 1, 43.18 deg, d 2.095, I 52
hkl 3 3 1, 47.81 deg, d 1.902, I 14
hkl 2 4 2, 56.72 deg, d 1.623, I 20
hkl 1 5 3, 75.90 deg, d 1.254, I 18
hkl 5 5 1, 78.63 deg, d 1.217, I 23

Atomic structure:
abc: 7.2757 12.8518 4.3941
angles: 90.00 90.00 90.00
Space group Cmmm (No. 65)
Symmetry-distinct sites (fractional):
Sn 0.0000 0.0000 0.0000 [2 per cell]
Pd 0.0000 0.2022 0.0000 [4 per cell]
Pd 0.0000 0.5000 0.5000 [2 per cell]
Pd 0.1819 0.1086 0.5000 [8 per cell]
Pt 0.0000 0.3008 0.5000 [4 per cell]

---

Starting from a DFT-relaxed cell (GGA-PBE, Alexandria), the powder X-ray diffraction pattern of NaTl2CoPb was computed for Cu Ka.
Peak positions follow from Bragg's law for the DFT cell and can differ from measured ones.

Top 12 peaks for 10° ≤ 2θ ≤ 80°, sorted by position:
hkl 1 0 0, 17.20 deg, d 5.154, I 35
hkl 0 0 1, 17.38 deg, d 5.103, I 16
hkl 1 1 1, 30.13 deg, d 2.966, I 100
hkl 2 0 0, 34.81 deg, d 2.577, I 51
hkl 0 0 2, 35.17 deg, d 2.552, I 25
hkl 2 1 0, 39.12 deg, d 2.303, I 18
hkl 1 0 2, 39.40 deg, d 2.287, I 9
hkl 2 2 0, 50.05 deg, d 1.822, I 19
hkl 2 0 2, 50.32 deg, d 1.813, I 36
hkl 3 1 1, 59.54 deg, d 1.553, I 30
hkl 1 1 3, 60.01 deg, d 1.541, I 15
hkl 2 2 2, 62.64 deg, d 1.483, I 19

Atomic structure:
abc: 5.1544 5.1544 5.1034
angles: 90.00 90.00 90.00
Space group P4/mmm (No. 123)
Symmetry-distinct sites (fractional):
Na 0.0000 0.0000 0.0000 [1 per cell]
Tl 0.0000 0.5000 0.5000 [2 per cell]
Co 0.5000 0.5000 0.5000 [1 per cell]
Pb 0.5000 0.5000 0.0000 [1 per cell]